# ScSiAsBr2
Calculated X-ray diffraction stick pattern, Cu Kα (λ = 1.5418 Å). Input: a cell relaxed with GGA-PBE.
Kinematic intensities with the Lorentz-polarization factor, no thermal factor.

Crystal structure
Cell lengths 5.084, 5.084, 5.523 Å; angles 90.00, 90.00, 90.00 degrees
Fractional coordinates of all 5 atoms:
1 Sc 0.000 0.000 0.000
2 Si 0.500 0.500 0.500
3 As 0.000 0.000 0.500
4 Br 0.000 0.500 0.000
5 Br 0.500 0.000 0.000

Main lines, sorted by position (2θ from 5° to 70°):
2θ/deg, I (rel.)
16.05, 23
17.44, 32
29.65, 100
32.42, 39
35.31, 61
48.69, 47
50.79, 21
56.13, 16
59.92, 26
61.56, 23



# As3SeBr
Calculated X-ray diffraction stick pattern, Cu Kα (λ = 1.5418 Å). Input: a cell relaxed with GGA-PBE.
Kinematic intensities with the Lorentz-polarization factor, no thermal factor.

Crystal structure
Cell lengths 5.086, 5.086, 5.086 Å; angles 90.00, 90.00, 90.00 degrees
Fractional coordinates of all 5 atoms:
1 As 0.000 0.000 0.500
2 As 0.000 0.500 0.000
3 As 0.500 0.000 0.000
4 Se 0.000 0.000 0.000
5 Br 0.500 0.500 0.500

Main lines, sorted by position (2θ from 5° to 70°):
2θ/deg, I (rel.)
17.44, 21
24.75, 24
30.44, 71
35.29, 100
39.62, 11
43.59, 10
50.77, 70
54.09, 5
60.36, 29
63.34, 24



# TcAs2SeBr
Calculated X-ray diffraction stick pattern, Cu Kα (λ = 1.5418 Å). Input: a cell relaxed with GGA-PBE.
Kinematic intensities with the Lorentz-polarization factor, no thermal factor.

Crystal structure
Cell lengths 4.912, 4.912, 4.796 Å; angles 90.00, 90.00, 90.00 degrees
Fractional coordinates of all 5 atoms:
1 Tc 0.000 0.000 0.000
2 As 0.000 0.500 0.000
3 As 0.500 0.000 0.000
4 Se 0.000 0.000 0.500
5 Br 0.500 0.500 0.500

Main lines, sorted by position (2θ from 5° to 70°):
2θ/deg, I (rel.)
18.06, 34
25.65, 17
25.96, 31
31.81, 79
36.59, 100
37.50, 47
52.70, 34
53.40, 66
62.89, 21
66.47, 34



# TlAs2SeBr
Calculated X-ray diffraction stick pattern, Cu Kα (λ = 1.5418 Å). Input: a cell relaxed with GGA-PBE.
Kinematic intensities with the Lorentz-polarization factor, no thermal factor.

Crystal structure
Cell lengths 4.951, 4.951, 7.989 Å; angles 90.00, 90.00, 90.00 degrees
Fractional coordinates of all 5 atoms:
1 Tl 0.000 0.000 0.000
2 As 0.000 0.500 0.500
3 As 0.500 0.000 0.500
4 Se 0.500 0.500 0.500
5 Br 0.500 0.500 0.000

Main lines, sorted by position (2θ from 5° to 70°):
2θ/deg, I (rel.)
21.11, 59
22.26, 92
25.44, 21
27.82, 100
36.29, 52
42.66, 32
42.98, 65
57.48, 27
59.46, 25
60.23, 23



# SiAs2Br
Calculated X-ray diffraction stick pattern, Cu Kα (λ = 1.5418 Å). Input: a cell relaxed with GGA-PBE.
Kinematic intensities with the Lorentz-polarization factor, no thermal factor.

Crystal structure
Cell lengths 4.718, 3.766, 5.460 Å; angles 90.00, 108.63, 90.00 degrees
Fractional coordinates of all 4 atoms:
1 Si 0.000 0.000 0.000
2 As 0.375 0.500 0.160
3 As 0.625 0.500 0.840
4 Br 0.000 0.000 0.500

Main lines, sorted by position (2θ from 5° to 70°):
2θ/deg, I (rel.)
29.33, 44
30.31, 46
31.05, 100
34.05, 52
38.42, 19
42.39, 27
48.33, 20
50.80, 32
58.12, 14
60.44, 19



# Sm3AsBr7
Calculated X-ray diffraction stick pattern, Cu Kα (λ = 1.5418 Å). Input: a cell relaxed with GGA-PBE.
Kinematic intensities with the Lorentz-polarization factor, no thermal factor.

Crystal structure
Cell lengths 8.677, 8.677, 6.726 Å; angles 90.00, 90.00, 120.00 degrees
Fractional coordinates of all 11 atoms:
1 Sm 0.006 0.503 0.000
2 Sm 0.497 0.503 0.000
3 Sm 0.497 0.994 0.000
4 As 0.333 0.667 0.779
5 Br 0.179 0.358 0.244
6 Br 0.179 0.821 0.244
7 Br 0.351 0.175 0.779
8 Br 0.642 0.821 0.244
9 Br 0.667 0.333 0.249
10 Br 0.825 0.175 0.779
11 Br 0.825 0.649 0.779

Main lines, sorted by position (2θ from 5° to 70°):
2θ/deg, I (rel.)
11.78, 25
13.16, 51
17.70, 14
27.19, 100
35.84, 61
41.63, 44
43.85, 15
47.21, 26
50.44, 17
56.08, 17



# SnAsBr
Calculated X-ray diffraction stick pattern, Cu Kα (λ = 1.5418 Å). Input: a cell relaxed with GGA-PBE.
Kinematic intensities with the Lorentz-polarization factor, no thermal factor.

Crystal structure
Cell lengths 6.040, 16.268, 4.140 Å; angles 90.00, 90.00, 90.00 degrees
Fractional coordinates of all 12 atoms:
1 Sn 0.003 0.203 0.000
2 Sn 0.497 0.703 0.500
3 Sn 0.503 0.297 0.500
4 Sn 0.997 0.797 0.000
5 As 0.240 0.660 0.000
6 As 0.260 0.160 0.500
7 As 0.740 0.840 0.500
8 As 0.760 0.340 0.000
9 Br 0.225 0.417 0.500
10 Br 0.275 0.917 0.000
11 Br 0.725 0.083 0.000
12 Br 0.775 0.583 0.500

Main lines, sorted by position (2θ from 5° to 70°):
2θ/deg, I (rel.)
10.88, 100
22.03, 39
26.09, 42
26.42, 56
26.67, 68
28.34, 63
30.95, 36
40.54, 60
44.72, 42
46.52, 61



# SnAsBr5
Calculated X-ray diffraction stick pattern, Cu Kα (λ = 1.5418 Å). Input: a cell relaxed with GGA-PBE.
Kinematic intensities with the Lorentz-polarization factor, no thermal factor.

Crystal structure
Cell lengths 7.489, 14.256, 11.015 Å; angles 90.00, 103.34, 90.00 degrees
Fractional coordinates of all 28 atoms:
1 Sn 0.159 0.245 0.141
2 Sn 0.159 0.255 0.641
3 Sn 0.841 0.745 0.359
4 Sn 0.841 0.755 0.859
5 As 0.354 0.515 0.314
6 As 0.354 0.985 0.814
7 As 0.646 0.015 0.186
8 As 0.646 0.485 0.686
9 Br 0.037 0.109 0.268
10 Br 0.037 0.391 0.768
11 Br 0.171 0.141 0.857
12 Br 0.171 0.359 0.357
13 Br 0.327 0.025 0.599
14 Br 0.327 0.475 0.099
15 Br 0.346 0.554 0.603
16 Br 0.346 0.946 0.103
17 Br 0.478 0.695 0.284
18 Br 0.478 0.805 0.784
19 Br 0.522 0.195 0.216
20 Br 0.522 0.305 0.716
21 Br 0.654 0.054 0.897
22 Br 0.654 0.446 0.397
23 Br 0.673 0.525 0.901
24 Br 0.673 0.975 0.401
25 Br 0.829 0.641 0.643
26 Br 0.829 0.859 0.143
27 Br 0.963 0.609 0.232
28 Br 0.963 0.891 0.732

Main lines, sorted by position (2θ from 5° to 70°):
2θ/deg, I (rel.)
13.65, 100
16.54, 68
25.03, 63
25.23, 63
27.92, 67
28.28, 67
30.38, 56
31.05, 60
35.22, 85
39.17, 77



# Sn2AsBr
Calculated X-ray diffraction stick pattern, Cu Kα (λ = 1.5418 Å). Input: a cell relaxed with GGA-PBE.
Kinematic intensities with the Lorentz-polarization factor, no thermal factor.

Crystal structure
Cell lengths 7.764, 7.764, 7.764 Å; angles 32.09, 32.09, 32.09 degrees
Fractional coordinates of all 4 atoms:
1 Sn 0.237 0.237 0.237
2 Sn 0.763 0.763 0.763
3 As 0.500 0.500 0.500
4 Br 0.000 0.000 0.000

Main lines, sorted by position (2θ from 5° to 70°):
2θ/deg, I (rel.)
28.96, 100
31.46, 6
37.40, 6
40.73, 32
42.11, 39
51.92, 20
57.02, 6
60.02, 10
67.01, 10
68.98, 17



# SnAs2Br
Calculated X-ray diffraction stick pattern, Cu Kα (λ = 1.5418 Å). Input: a cell relaxed with GGA-PBE.
Kinematic intensities with the Lorentz-polarization factor, no thermal factor.

Crystal structure
Cell lengths 7.278, 7.278, 7.278 Å; angles 122.44, 122.44, 85.83 degrees
Fractional coordinates of all 8 atoms:
1 Sn 0.000 0.000 0.000
2 Sn 0.750 0.250 0.500
3 As 0.099 0.625 0.974
4 As 0.375 0.349 0.474
5 As 0.651 0.125 0.026
6 As 0.875 0.901 0.526
7 Br 0.250 0.750 0.500
8 Br 0.500 0.500 0.000

Main lines, sorted by position (2θ from 5° to 70°):
2θ/deg, I (rel.)
15.13, 7
24.53, 100
36.25, 34
42.62, 44
44.26, 40
52.21, 11
54.89, 11
58.49, 8
67.57, 11
69.59, 19



# TlSn2AsBr8
Calculated X-ray diffraction stick pattern, Cu Kα (λ = 1.5418 Å). Input: a cell relaxed with GGA-PBE.
Kinematic intensities with the Lorentz-polarization factor, no thermal factor.

Crystal structure
Cell lengths 6.810, 7.167, 9.079 Å; angles 86.51, 88.27, 87.57 degrees
Fractional coordinates of all 12 atoms:
1 Tl 0.000 0.000 0.000
2 Sn 0.480 0.481 0.257
3 Sn 0.520 0.519 0.743
4 As 0.000 0.000 0.500
5 Br 0.226 0.304 0.481
6 Br 0.230 0.836 0.297
7 Br 0.239 0.848 0.709
8 Br 0.278 0.363 0.025
9 Br 0.722 0.637 0.975
10 Br 0.761 0.152 0.291
11 Br 0.770 0.164 0.703
12 Br 0.774 0.696 0.519

Main lines, sorted by position (2θ from 5° to 70°):
2θ/deg, I (rel.)
17.63, 65
18.37, 62
23.29, 28
23.90, 30
27.29, 45
27.73, 31
34.04, 26
35.69, 100
39.80, 26
41.77, 26



# Sr4AsBr4
Calculated X-ray diffraction stick pattern, Cu Kα (λ = 1.5418 Å). Input: a cell relaxed with GGA-PBE.
Kinematic intensities with the Lorentz-polarization factor, no thermal factor.

Crystal structure
Cell lengths 7.797, 7.797, 11.027 Å; angles 118.75, 118.75, 33.78 degrees
Fractional coordinates of all 9 atoms:
1 Sr 0.087 0.087 0.403
2 Sr 0.306 0.306 0.215
3 Sr 0.694 0.694 0.785
4 Sr 0.913 0.913 0.597
5 As 0.500 0.500 0.500
6 Br 0.114 0.114 0.903
7 Br 0.303 0.303 0.699
8 Br 0.697 0.697 0.301
9 Br 0.886 0.886 0.097

Main lines, sorted by position (2θ from 5° to 70°):
2θ/deg, I (rel.)
9.28, 11
12.10, 11
27.90, 100
28.33, 48
39.80, 20
39.93, 17
40.18, 72
49.58, 29
57.65, 11
65.37, 15